1.
This entry pairs a crystal structure of SrEuInBiO6 with its computed powder X-ray diffraction pattern. Radiation: Cu Ka. Structure: a cell relaxed with PBE.
Intensities are scaled so that the largest is 100.

Largest 10 diffraction maxima, by angle, 10 to 90 degrees two-theta:
2θ/deg  I (rel.)  hkl
21.13  8  1 -1 0
29.62  23  0 2 0
30.08  100  1 1 2
30.43  24  2 0 0
42.98  22  2 2 0
43.13  13  0 0 4
52.81  12  1 3 -2
53.70  12  2 0 4
53.86  23  3 1 2
62.49  10  2 2 -4

Crystal structure
Lattice parameters (Å, degrees): 5.8741 6.0327 8.3894 90.13 90.09 90.06
Space group P-1 (No. 2)
Asymmetric unit:
Sr  0.0117  0.0484  0.2494
Eu  0.4857  0.5542  0.2500
In  0.0000  0.5000  0.0000
In  0.5000  0.0000  0.5000
Bi  0.0000  0.5000  0.5000
Bi  0.5000  0.0000  0.0000
O  0.1125  0.5314  0.7478
O  0.2032  0.7920  0.4434
O  0.2037  0.7920  0.0557
O  0.3038  0.3052  0.4442
O  0.3070  0.3052  0.0556
O  0.4028  0.0464  0.7484

2.
This entry pairs a crystal structure of NpSi with its computed powder X-ray diffraction pattern. Radiation: Cu Ka. Structure: a cell relaxed with PBE.
Intensities are scaled so that the largest is 100.

Largest 10 diffraction maxima, by angle, 10 to 90 degrees two-theta:
2θ/deg  I (rel.)  hkl
22.03  30  1 1 0
26.13  19  1 1 1
27.99  37  0 0 2
32.77  32  0 4 1
33.61  100  1 3 1
35.90  36  1 1 2
42.22  19  2 0 0
51.42  15  2 0 2
53.21  20  1 3 3
54.45  16  2 4 1

Crystal structure
Lattice parameters (Å, degrees): 4.2807 12.1001 6.3760 90.00 90.00 90.00
Space group Cmcm (No. 63)
Asymmetric unit:
Np  0.0000  0.0561  0.2500
Np  0.0000  0.2276  0.7500
Si  0.0000  0.4038  0.0593

3.
This entry pairs a crystal structure of Li3BiS3 with its computed powder X-ray diffraction pattern. Radiation: Cu Ka. Structure: a cell relaxed with PBE.
Intensities are scaled so that the largest is 100.

Largest 10 diffraction maxima, by angle, 10 to 90 degrees two-theta:
2θ/deg  I (rel.)  hkl
10.96  38  0 2 0
15.72  98  0 1 1
18.68  100  1 2 -1
22.01  41  0 4 0
26.80  43  1 4 -1
30.43  43  2 0 -2
31.45  28  0 5 1
33.30  36  0 6 0
34.15  57  0 3 2
45.73  29  2 6 -2

Crystal structure
Lattice parameters (Å, degrees): 5.8764 16.1413 8.3487 90.00 133.88 90.00
Space group P2_1/c (No. 14)
Asymmetric unit:
Li  0.1410  0.1917  0.1762
Li  0.2078  0.0707  0.9075
Li  0.2940  0.6886  0.2680
Bi  0.3628  0.0881  0.5872
S  0.2068  0.2462  0.9583
S  0.2490  0.5819  0.4778
S  0.2759  0.5895  0.0068